Simulated powder XRD pattern
Compound: GaAs2W
Radiation: λ = 1.5418 Å (Cu Kα)
Structure: a structure optimized by DFT (GGA-PBE)
Intensities are scaled so that the largest is 100.

Structure:
Unit cell a=6.481 b=6.481 c=6.481 alpha=90.00 beta=90.00 gamma=90.00
Sites, in units of the cell vectors:
Ga: 0.000 0.000 0.000
Ga: 0.000 0.500 0.500
Ga: 0.500 0.000 0.500
Ga: 0.500 0.500 0.000
As: 0.000 0.000 0.500
As: 0.000 0.500 0.000
As: 0.250 0.250 0.250
As: 0.250 0.750 0.750
As: 0.500 0.000 0.000
As: 0.500 0.500 0.500
As: 0.750 0.250 0.750
As: 0.750 0.750 0.250
W: 0.250 0.250 0.750
W: 0.250 0.750 0.250
W: 0.750 0.250 0.250
W: 0.750 0.750 0.750

Peak list (10 most intense, 2θ = 10–80°, by intensity)
2θ = 39.3°, rel. 100; 2θ = 71.3°, rel. 34; 2θ = 56.8°, rel. 17; 2θ = 23.8°, rel. 15; 2θ = 27.5°, rel. 9; 2θ = 46.5°, rel. 8; 2θ = 62.5°, rel. 3; 2θ = 64.3°, rel. 3; 2θ = 76.4°, rel. 3; 2θ = 48.7°, rel. 3

Simulated powder XRD pattern
Compound: GdCu4Pd
Radiation: λ = 1.5418 Å (Cu Kα)
Structure: a structure optimized by DFT (GGA-PBE)
Intensities are scaled so that the largest is 100.

Structure:
Unit cell a=5.028 b=5.028 c=5.028 alpha=60.00 beta=60.00 gamma=60.00
Sites, in units of the cell vectors:
Gd: 0.000 0.000 0.000
Cu: 0.128 0.624 0.624
Cu: 0.624 0.128 0.624
Cu: 0.624 0.624 0.128
Cu: 0.624 0.624 0.624
Pd: 0.250 0.250 0.250

Peak list (11 most intense, 2θ = 10–80°, by intensity)
2θ = 42.1°, rel. 100; 2θ = 35.7°, rel. 52; 2θ = 68.6°, rel. 30; 2θ = 75.6°, rel. 23; 2θ = 44.1°, rel. 21; 2θ = 64.2°, rel. 19; 2θ = 21.6°, rel. 5; 2θ = 25.0°, rel. 2; 2θ = 56.4°, rel. 2; 2θ = 79.8°, rel. 1; 2θ = 58.0°, rel. 1

Simulated powder XRD pattern
Compound: Nd2SeO2
Radiation: λ = 1.5418 Å (Cu Kα)
Structure: a structure optimized by DFT (GGA-PBE)
Intensities are scaled so that the largest is 100.

Structure:
Unit cell a=4.018 b=4.018 c=7.073 alpha=90.00 beta=90.00 gamma=120.00
Sites, in units of the cell vectors:
Nd: 0.333 0.667 0.289
Nd: 0.667 0.333 0.711
Se: 0.000 0.000 0.000
O: 0.333 0.667 0.626
O: 0.667 0.333 0.374

Peak list (12 most intense, 2θ = 10–80°, by intensity)
2θ = 28.6°, rel. 100; 2θ = 36.2°, rel. 42; 2θ = 45.1°, rel. 35; 2θ = 46.5°, rel. 17; 2θ = 54.3°, rel. 17; 2θ = 60.5°, rel. 16; 2θ = 73.2°, rel. 14; 2θ = 25.2°, rel. 11; 2θ = 38.2°, rel. 10; 2θ = 59.2°, rel. 10; 2θ = 77.4°, rel. 9; 2θ = 52.4°, rel. 9

Simulated powder XRD pattern
Compound: SiO2
Radiation: λ = 1.5418 Å (Cu Kα)
Structure: a structure optimized by DFT (GGA-PBE)
Intensities are scaled so that the largest is 100.

Structure:
Unit cell a=5.084 b=7.042 c=5.066 alpha=90.00 beta=90.00 gamma=90.00
Sites, in units of the cell vectors:
Si: 0.045 0.125 0.000
Si: 0.455 0.625 0.500
Si: 0.545 0.375 0.000
Si: 0.955 0.875 0.500
O: 0.016 0.052 0.303
O: 0.156 0.699 0.448
O: 0.344 0.199 0.948
O: 0.484 0.552 0.803
O: 0.516 0.448 0.303
O: 0.656 0.801 0.448
O: 0.844 0.301 0.948
O: 0.984 0.948 0.803

Peak list (12 most intense, 2θ = 10–80°, by intensity)
2θ = 21.6°, rel. 100; 2θ = 35.7°, rel. 11; 2θ = 35.4°, rel. 7; 2θ = 35.3°, rel. 7; 2θ = 30.9°, rel. 5; 2θ = 56.4°, rel. 5; 2θ = 27.9°, rel. 4; 2θ = 63.8°, rel. 4; 2θ = 56.0°, rel. 3; 2θ = 41.8°, rel. 3; 2θ = 79.4°, rel. 3; 2θ = 47.7°, rel. 3

Simulated powder XRD pattern
Compound: LiAg2F4
Radiation: λ = 1.5418 Å (Cu Kα)
Structure: a structure optimized by DFT (GGA-PBE)
Intensities are scaled so that the largest is 100.

Structure:
Unit cell a=6.072 b=8.432 c=9.202 alpha=90.00 beta=114.72 gamma=90.00
Sites, in units of the cell vectors:
Li: 0.185 0.186 0.009
Li: 0.185 0.314 0.509
Li: 0.815 0.686 0.491
Li: 0.815 0.814 0.991
Ag: 0.152 0.511 0.865
Ag: 0.152 0.989 0.365
Ag: 0.441 0.675 0.621
Ag: 0.441 0.825 0.121
Ag: 0.559 0.175 0.879
Ag: 0.559 0.325 0.379
Ag: 0.848 0.011 0.635
Ag: 0.848 0.489 0.135
F: 0.096 0.692 0.043
F: 0.096 0.808 0.543
F: 0.201 0.082 0.827
F: 0.201 0.418 0.327
F: 0.296 0.049 0.182
F: 0.296 0.451 0.682
F: 0.439 0.167 0.533
F: 0.439 0.333 0.033
F: 0.561 0.667 0.967
F: 0.561 0.833 0.467
F: 0.704 0.549 0.318
F: 0.704 0.951 0.818
F: 0.799 0.582 0.673
F: 0.799 0.918 0.173
F: 0.904 0.192 0.457
F: 0.904 0.308 0.957

Peak list (12 most intense, 2θ = 10–80°, by intensity)
2θ = 25.1°, rel. 100; 2θ = 31.2°, rel. 58; 2θ = 26.6°, rel. 52; 2θ = 23.8°, rel. 46; 2θ = 29.6°, rel. 42; 2θ = 23.2°, rel. 40; 2θ = 33.6°, rel. 36; 2θ = 23.6°, rel. 31; 2θ = 30.5°, rel. 28; 2θ = 48.0°, rel. 25; 2θ = 45.9°, rel. 24; 2θ = 43.3°, rel. 24

Simulated powder XRD pattern
Compound: MnCrSb
Radiation: λ = 1.5418 Å (Cu Kα)
Structure: a structure optimized by DFT (GGA-PBE)
Intensities are scaled so that the largest is 100.

Structure:
Unit cell a=4.545 b=4.545 c=5.538 alpha=90.00 beta=90.00 gamma=120.00
Sites, in units of the cell vectors:
Mn: 0.000 0.000 0.000
Mn: 0.000 0.000 0.500
Cr: 0.333 0.667 0.250
Cr: 0.667 0.333 0.750
Sb: 0.333 0.667 0.750
Sb: 0.667 0.333 0.250

Peak list (12 most intense, 2θ = 10–80°, by intensity)
2θ = 39.7°, rel. 100; 2θ = 39.8°, rel. 76; 2θ = 72.0°, rel. 39; 2θ = 27.8°, rel. 32; 2θ = 57.4°, rel. 24; 2θ = 52.1°, rel. 24; 2θ = 32.3°, rel. 16; 2θ = 22.6°, rel. 8; 2θ = 49.1°, rel. 7; 2θ = 64.9°, rel. 7; 2θ = 67.7°, rel. 6; 2θ = 54.9°, rel. 5

Simulated powder XRD pattern
Compound: Na2TiGaP3O12
Radiation: λ = 1.5418 Å (Cu Kα)
Structure: a structure optimized by DFT (GGA-PBE)
Intensities are scaled so that the largest is 100.

Structure:
Unit cell a=8.674 b=8.674 c=8.899 alpha=119.15 beta=119.15 gamma=59.60
Sites, in units of the cell vectors:
Na: 0.114 0.886 0.500
Na: 0.499 0.998 0.747
Na: 0.886 0.114 0.000
Na: 0.998 0.499 0.247
Ti: 0.148 0.639 0.692
Ti: 0.639 0.148 0.192
Ga: 0.357 0.851 0.306
Ga: 0.851 0.357 0.806
P: 0.038 0.250 0.500
P: 0.250 0.038 0.000
P: 0.463 0.541 0.504
P: 0.541 0.463 0.004
P: 0.744 0.963 0.505
P: 0.963 0.744 0.005
O: 0.013 0.265 0.667
O: 0.063 0.425 0.522
O: 0.073 0.218 0.980
O: 0.130 0.775 0.177
O: 0.218 0.073 0.480
O: 0.224 0.865 0.828
O: 0.265 0.013 0.167
O: 0.279 0.567 0.520
O: 0.364 0.493 0.834
O: 0.425 0.063 0.022
O: 0.427 0.722 0.481
O: 0.493 0.364 0.334
O: 0.514 0.632 0.172
O: 0.567 0.279 0.020
O: 0.574 0.934 0.481
O: 0.632 0.514 0.672
O: 0.722 0.427 0.981
O: 0.728 0.995 0.337
O: 0.775 0.130 0.677
O: 0.782 0.926 0.021
O: 0.865 0.224 0.328
O: 0.926 0.782 0.521
O: 0.934 0.574 0.981
O: 0.995 0.728 0.837

Peak list (12 most intense, 2θ = 10–80°, by intensity)
2θ = 31.9°, rel. 100; 2θ = 23.8°, rel. 90; 2θ = 20.0°, rel. 73; 2θ = 31.8°, rel. 68; 2θ = 14.2°, rel. 50; 2θ = 20.5°, rel. 44; 2θ = 23.9°, rel. 42; 2θ = 28.8°, rel. 42; 2θ = 36.0°, rel. 36; 2θ = 20.6°, rel. 31; 2θ = 35.8°, rel. 21; 2θ = 52.5°, rel. 19

Simulated powder XRD pattern
Compound: RbInBr3
Radiation: λ = 1.5418 Å (Cu Kα)
Structure: a structure optimized by DFT (GGA-PBE)
Intensities are scaled so that the largest is 100.

Structure:
Unit cell a=8.106 b=8.117 c=5.734 alpha=90.00 beta=90.11 gamma=90.00
Sites, in units of the cell vectors:
Rb: 0.000 0.000 0.000
Rb: 0.500 0.500 0.000
In: 0.496 0.000 0.485
In: 0.996 0.500 0.485
Br: 0.007 0.500 0.986
Br: 0.248 0.248 0.487
Br: 0.248 0.752 0.487
Br: 0.507 0.000 0.986
Br: 0.748 0.252 0.487
Br: 0.748 0.748 0.487

Peak list (12 most intense, 2θ = 10–80°, by intensity)
2θ = 31.2°, rel. 100; 2θ = 44.7°, rel. 72; 2θ = 26.9°, rel. 46; 2θ = 21.9°, rel. 35; 2θ = 15.5°, rel. 35; 2θ = 73.9°, rel. 26; 2θ = 53.0°, rel. 20; 2θ = 35.0°, rel. 19; 2θ = 55.5°, rel. 19; 2θ = 38.4°, rel. 17; 2θ = 65.1°, rel. 11; 2θ = 47.6°, rel. 10